For Ho5Zr3Ni16As12, a crystal structure in Alexandria, relaxed with PBE gives the theoretical powder X-ray diffraction pattern in this record (Cu Kα, 1.54184 Å).
No peak broadening, texture or thermal motion is included.

Cell and atoms:
a b c (Å): 12.7618 12.7618 3.9279
angles (deg): 90.00 90.00 120.00
Fractional coordinates of all 36 atoms:
1 Ho 0.0000 0.1844 0.0000
2 Ho 0.1844 0.0000 0.0000
3 Ho 0.3333 0.6667 0.5000
4 Ho 0.6667 0.3333 0.5000
5 Ho 0.8156 0.8156 0.0000
6 Zr 0.0000 0.5641 0.5000
7 Zr 0.4359 0.4359 0.5000
8 Zr 0.5641 0.0000 0.5000
9 Ni 0.0000 0.0000 0.5000
10 Ni 0.0000 0.7245 0.0000
11 Ni 0.1211 0.4837 0.0000
12 Ni 0.1842 0.8075 0.5000
13 Ni 0.1925 0.3767 0.5000
14 Ni 0.2755 0.2755 0.0000
15 Ni 0.3626 0.8789 0.0000
16 Ni 0.3767 0.1925 0.5000
17 Ni 0.4837 0.1211 0.0000
18 Ni 0.5163 0.6374 0.0000
19 Ni 0.6233 0.8158 0.5000
20 Ni 0.6374 0.5163 0.0000
21 Ni 0.7245 0.0000 0.0000
22 Ni 0.8075 0.1842 0.5000
23 Ni 0.8158 0.6233 0.5000
24 Ni 0.8789 0.3626 0.0000
25 As 0.0000 0.3562 0.5000
26 As 0.0000 0.8222 0.5000
27 As 0.1729 0.6939 0.0000
28 As 0.1778 0.1778 0.5000
29 As 0.3061 0.4791 0.0000
30 As 0.3562 0.0000 0.5000
31 As 0.4791 0.3061 0.0000
32 As 0.5209 0.8271 0.0000
33 As 0.6438 0.6438 0.5000
34 As 0.6939 0.1729 0.0000
35 As 0.8222 0.0000 0.5000
36 As 0.8271 0.5209 0.0000

Principal peaks in the range 15° ≤ 2θ ≤ 90°, by angle:
2θ (°), d (Å), I_rel
29.1, 3.065, 13
33.3, 2.687, 28
36.3, 2.476, 100
37.2, 2.415, 83
45.7, 1.985, 13
46.2, 1.964, 37
49.5, 1.842, 33
55.7, 1.649, 18
70.0, 1.344, 22
74.3, 1.277, 14

For TmCoSn6, a crystal structure in Alexandria, relaxed with PBE gives the theoretical powder X-ray diffraction pattern in this record (Cu Kα, 1.54184 Å).
No peak broadening, texture or thermal motion is included.

Cell and atoms:
a b c (Å): 6.1919 6.1919 6.6368
angles (deg): 103.94 103.94 117.62
Fractional coordinates of all 8 atoms:
1 Tm 0.0000 0.0000 0.0000
2 Co 0.0000 0.0000 0.5000
3 Sn 0.1063 0.6690 0.2514
4 Sn 0.3310 0.8937 0.7486
5 Sn 0.4414 0.4414 0.7032
6 Sn 0.5586 0.5586 0.2968
7 Sn 0.6690 0.1063 0.2514
8 Sn 0.8937 0.3310 0.7486

Principal peaks in the range 15° ≤ 2θ ≤ 90°, by angle:
2θ (°), d (Å), I_rel
27.8, 3.212, 48
28.2, 3.162, 54
30.4, 2.938, 29
31.5, 2.839, 31
32.6, 2.743, 100
33.8, 2.648, 71
34.9, 2.569, 45
37.2, 2.416, 75
44.8, 2.023, 30
48.4, 1.880, 27

For La8P3NCl4, a crystal structure in Alexandria, relaxed with PBE gives the theoretical powder X-ray diffraction pattern in this record (Cu Kα, 1.54184 Å).
No peak broadening, texture or thermal motion is included.

Cell and atoms:
a b c (Å): 8.5004 8.5004 8.5004
angles (deg): 58.12 58.12 58.12
Fractional coordinates of all 16 atoms:
1 La 0.2414 0.2414 0.2414
2 La 0.2664 0.7210 0.7210
3 La 0.2790 0.2790 0.7336
4 La 0.2790 0.7336 0.2790
5 La 0.7210 0.2664 0.7210
6 La 0.7210 0.7210 0.2664
7 La 0.7336 0.2790 0.2790
8 La 0.7586 0.7586 0.7586
9 P 0.0000 0.0000 0.5000
10 P 0.0000 0.5000 0.0000
11 P 0.5000 0.0000 0.0000
12 N 0.5000 0.5000 0.5000
13 Cl 0.0000 0.0000 0.0000
14 Cl 0.0000 0.5000 0.5000
15 Cl 0.5000 0.0000 0.5000
16 Cl 0.5000 0.5000 0.0000

Principal peaks in the range 15° ≤ 2θ ≤ 90°, by angle:
2θ (°), d (Å), I_rel
25.3, 3.519, 18
26.3, 3.387, 55
30.2, 2.960, 100
42.6, 2.123, 29
43.9, 2.064, 35
51.3, 1.781, 13
54.2, 1.693, 23
62.8, 1.480, 14
70.3, 1.340, 12
72.2, 1.309, 14

For PrSm2Cu2Ge2, a crystal structure in Alexandria, relaxed with PBE gives the theoretical powder X-ray diffraction pattern in this record (Cu Kα, 1.54184 Å).
No peak broadening, texture or thermal motion is included.

Cell and atoms:
a b c (Å): 10.0823 10.0823 10.0823
angles (deg): 24.84 24.84 24.84
Fractional coordinates of all 7 atoms:
1 Pr 0.0000 0.0000 0.0000
2 Sm 0.1265 0.1265 0.1265
3 Sm 0.8735 0.8735 0.8735
4 Cu 0.4026 0.4026 0.4026
5 Cu 0.5974 0.5974 0.5974
6 Ge 0.2637 0.2637 0.2637
7 Ge 0.7363 0.7363 0.7363

Principal peaks in the range 15° ≤ 2θ ≤ 90°, by angle:
2θ (°), d (Å), I_rel
23.9, 3.725, 37
32.0, 2.795, 92
34.2, 2.622, 100
41.7, 2.168, 93
46.5, 1.953, 18
53.5, 1.713, 21
54.9, 1.671, 26
64.2, 1.451, 40
70.0, 1.344, 19
71.2, 1.324, 23